[1]
This entry pairs a crystal structure of BPPt4 with its computed powder diffractogram. Radiation: Cu Kα. Structure: the PBE geometry in Alexandria.
Kinematic intensities with the Lorentz-polarization factor, no thermal factor.

Atomic structure:
Lattice parameters (Å, degrees): 4.3419 20.0036 4.3139 90.00 90.00 90.00
Fractional coordinates of all 24 atoms:
1 B 0.0000 0.1250 0.2500
2 B 0.0000 0.8750 0.7500
3 B 0.5000 0.3750 0.7500
4 B 0.5000 0.6250 0.2500
5 P 0.0000 0.3756 0.2500
6 P 0.0000 0.6244 0.7500
7 P 0.5000 0.1244 0.7500
8 P 0.5000 0.8756 0.2500
9 Pt 0.2080 0.2022 0.5050
10 Pt 0.2080 0.7978 0.0050
11 Pt 0.2478 0.0477 0.0401
12 Pt 0.2478 0.9523 0.5401
13 Pt 0.2522 0.4523 0.5401
14 Pt 0.2522 0.5477 0.0401
15 Pt 0.2920 0.2978 0.0050
16 Pt 0.2920 0.7022 0.5050
17 Pt 0.7080 0.2978 0.4950
18 Pt 0.7080 0.7022 0.9950
19 Pt 0.7478 0.4523 0.9599
20 Pt 0.7478 0.5477 0.4599
21 Pt 0.7522 0.0477 0.4599
22 Pt 0.7522 0.9523 0.9599
23 Pt 0.7920 0.2022 0.9950
24 Pt 0.7920 0.7978 0.4950

Top 6 peaks for 2θ from 15° to 90°, low angle first:
- (0 4 0), 17.7 deg, d = 5.001 Å, I 14
- (1 4 1), 34.4 deg, d = 2.610 Å, I 100
- (2 0 0), 41.6 deg, d = 2.171 Å, I 14
- (0 0 2), 41.9 deg, d = 2.157 Å, I 14
- (1 8 1), 46.9 deg, d = 1.936 Å, I 22
- (2 12 0), 71.3 deg, d = 1.323 Å, I 14

[2]
This entry pairs a crystal structure of In11Hg4 with its computed powder diffractogram. Radiation: Cu Kα. Structure: the PBE geometry in Alexandria.
Kinematic intensities with the Lorentz-polarization factor, no thermal factor.

Atomic structure:
Lattice parameters (Å, degrees): 6.4055 11.2615 11.3343 87.59 85.38 88.71
Fractional coordinates of all 30 atoms:
1 In 0.0000 0.0000 0.0000
2 In 0.0209 0.4005 0.6030
3 In 0.0598 0.0646 0.2755
4 In 0.0892 0.2760 0.0554
5 In 0.2247 0.6871 0.6989
6 In 0.2326 0.1702 0.7922
7 In 0.2669 0.3330 0.3271
8 In 0.2741 0.8144 0.1606
9 In 0.4005 0.7762 0.4272
10 In 0.4430 0.4275 0.7852
11 In 0.4732 0.9132 0.8943
12 In 0.5000 0.5000 0.5000
13 In 0.5268 0.0868 0.1057
14 In 0.5570 0.5725 0.2148
15 In 0.5995 0.2238 0.5728
16 In 0.7259 0.1856 0.8394
17 In 0.7331 0.6670 0.6729
18 In 0.7674 0.8298 0.2078
19 In 0.7753 0.3129 0.3011
20 In 0.9108 0.7240 0.9446
21 In 0.9402 0.9354 0.7245
22 In 0.9791 0.5995 0.3970
23 Hg 0.0610 0.5419 0.1365
24 Hg 0.0838 0.1363 0.5345
25 Hg 0.4385 0.6409 0.9483
26 Hg 0.4598 0.9447 0.6299
27 Hg 0.5402 0.0553 0.3701
28 Hg 0.5615 0.3591 0.0517
29 Hg 0.9162 0.8637 0.4655
30 Hg 0.9390 0.4581 0.8635

Top 6 peaks for 2θ from 15° to 90°, low angle first:
- (2 -1 2), 32.4 deg, d = 2.764 Å, I 100
- (2 -2 0), 32.5 deg, d = 2.754 Å, I 98
- (0 1 -4), 33.0 deg, d = 2.711 Å, I 87
- (2 2 -1), 33.7 deg, d = 2.662 Å, I 62
- (1 3 3), 35.0 deg, d = 2.563 Å, I 93
- (-1 4 1), 36.0 deg, d = 2.494 Å, I 61

[3]
This entry pairs a crystal structure of LaY3Os with its computed powder diffractogram. Radiation: Cu Kα. Structure: the PBE geometry in Alexandria.
Kinematic intensities with the Lorentz-polarization factor, no thermal factor.

Atomic structure:
Lattice parameters (Å, degrees): 5.4735 5.4735 5.4735 90.00 90.00 90.00
Fractional coordinates of all 5 atoms:
1 La 0.0000 0.0000 0.0000
2 Y 0.0000 0.5000 0.5000
3 Y 0.5000 0.0000 0.5000
4 Y 0.5000 0.5000 0.0000
5 Os 0.5000 0.5000 0.5000

Top 6 peaks for 2θ from 15° to 90°, low angle first:
- (1 0 0), 16.2 deg, d = 5.474 Å, I 31
- (1 1 0), 23.0 deg, d = 3.870 Å, I 73
- (2 0 0), 32.7 deg, d = 2.737 Å, I 100
- (2 1 1), 40.4 deg, d = 2.235 Å, I 35
- (2 2 0), 47.0 deg, d = 1.935 Å, I 72
- (4 2 0), 78.1 deg, d = 1.224 Å, I 32